No. 1
The following is a theoretical powder X-ray diffraction pattern of Sb4O5F2. It was derived from DFT lattice parameters and positions (GGA-PBE), using CuKα.
Peak positions follow from Bragg's law for the DFT cell and can differ from measured ones.

Peak list (10 most intense, 2θ = 15–90°, by intensity)
| d (Å) | I/Imax |
| --- | --- |
| 3.344 | 100.0 |
| 3.080 | 72.2 |
| 4.171 | 54.8 |
| 3.771 | 53.1 |
| 3.913 | 42.5 |
| 2.539 | 38.7 |
| 2.824 | 29.1 |
| 3.047 | 27.6 |
| 1.886 | 26.9 |
| 4.945 | 26.0 |

Structural model:
a = 6.1271 Å, b = 5.3174 Å, c = 13.5177 Å
α = 90.00°, β = 95.87°, γ = 90.00°
Atoms (fractional coordinates):
Sb 0.1799 0.2268 0.0587
Sb 0.1799 0.2732 0.5587
Sb 0.2341 0.5798 0.2972
Sb 0.2341 0.9202 0.7972
Sb 0.7659 0.0798 0.2028
Sb 0.7659 0.4202 0.7028
Sb 0.8201 0.7268 0.4413
Sb 0.8201 0.7732 0.9413
O 0.0000 0.0000 0.5000
O 0.0000 0.5000 0.0000
O 0.0733 0.0087 0.9170
O 0.0733 0.4913 0.4170
O 0.0919 0.1791 0.7061
O 0.0919 0.3209 0.2061
O 0.9081 0.6791 0.7939
O 0.9081 0.8209 0.2939
O 0.9267 0.5087 0.5830
O 0.9267 0.9913 0.0830
F 0.4524 0.1852 0.8588
F 0.4524 0.3148 0.3588
F 0.5476 0.6852 0.6412
F 0.5476 0.8148 0.1412


No. 2
The following is a theoretical powder X-ray diffraction pattern of Li2In8Ir. It was derived from DFT lattice parameters and positions (GGA-PBE), using CuKα.
Peak positions follow from Bragg's law for the DFT cell and can differ from measured ones.

Peak list (10 most intense, 2θ = 15–90°, by intensity)
| d (Å) | I/Imax |
| --- | --- |
| 2.527 | 100.0 |
| 2.295 | 47.3 |
| 3.654 | 31.0 |
| 4.290 | 28.2 |
| 1.365 | 27.5 |
| 1.623 | 15.7 |
| 2.211 | 12.1 |
| 1.943 | 10.8 |
| 1.938 | 10.4 |
| 2.138 | 9.4 |

Structural model:
a = 4.5892 Å, b = 4.5892 Å, c = 12.0818 Å
α = 90.00°, β = 90.00°, γ = 90.00°
Atoms (fractional coordinates):
Li 0.0000 0.0000 0.1984
Li 0.0000 0.0000 0.8016
In 0.0000 0.5000 0.0000
In 0.0000 0.5000 0.3715
In 0.0000 0.5000 0.6285
In 0.5000 0.0000 0.0000
In 0.5000 0.0000 0.3715
In 0.5000 0.0000 0.6285
In 0.5000 0.5000 0.1884
In 0.5000 0.5000 0.8116
Ir 0.0000 0.0000 0.5000


No. 3
The following is a theoretical powder X-ray diffraction pattern of PmTh2PtRh5. It was derived from DFT lattice parameters and positions (GGA-PBE), using CuKα.
Peak positions follow from Bragg's law for the DFT cell and can differ from measured ones.

Peak list (10 most intense, 2θ = 15–90°, by intensity)
| d (Å) | I/Imax |
| --- | --- |
| 2.605 | 100.0 |
| 2.980 | 46.6 |
| 2.275 | 43.0 |
| 2.391 | 33.7 |
| 2.666 | 33.1 |
| 1.963 | 30.1 |
| 1.875 | 25.5 |
| 3.323 | 21.2 |
| 1.778 | 19.5 |
| 2.285 | 17.9 |

Structural model:
a = 8.0453 Å, b = 8.0453 Å, c = 8.0453 Å
α = 116.81°, β = 116.81°, γ = 95.61°
Atoms (fractional coordinates):
Pm 0.2500 0.2500 0.0000
Pm 0.7500 0.7500 0.0000
Th 0.1385 0.6385 0.7770
Th 0.3615 0.1385 0.5000
Th 0.6385 0.8615 0.5000
Th 0.8615 0.3615 0.2230
Pt 0.2500 0.7500 0.5000
Pt 0.7500 0.2500 0.5000
Rh 0.0000 0.0000 0.0000
Rh 0.0538 0.1801 0.5000
Rh 0.1801 0.6801 0.1262
Rh 0.3199 0.4462 0.5000
Rh 0.4462 0.9462 0.1262
Rh 0.5000 0.5000 0.0000
Rh 0.5538 0.0538 0.8738
Rh 0.6801 0.5538 0.5000
Rh 0.8199 0.3199 0.8738
Rh 0.9462 0.8199 0.5000